This entry pairs a crystal structure of Mg3Si4 with its simulated powder XRD pattern. Radiation: Cu Kα. Structure: a cell relaxed with PBE.
No peak broadening, texture or thermal motion is included.

Structural model:
Unit cell a=5.0445 b=7.3533 c=7.9166 alpha=74.22 beta=71.62 gamma=83.73
Space group P1 (No. 1)
Symmetry-distinct sites (fractional):
Mg  0.0000  0.0000  0.0000
Mg  0.0818  0.3011  0.4985
Mg  0.2059  0.4044  0.0222
Mg  0.3879  0.9606  0.2766
Mg  0.6218  0.7400  0.9334
Mg  0.8481  0.7137  0.5439
Si  0.2466  0.7297  0.7368
Si  0.3935  0.5861  0.4773
Si  0.4641  0.0372  0.6309
Si  0.5322  0.1215  0.8851
Si  0.6213  0.3767  0.1902
Si  0.7995  0.3845  0.8474
Si  0.8238  0.6465  0.2256
Si  0.8373  0.1000  0.3467

Most intense lines, 5 to 70 degrees two-theta, in order of rising 2θ:
two_theta	d (Å)	I (rel.)
24.7	3.610	513
31.8	2.814	535
34.5	2.599	569
35.4	2.535	1000
36.7	2.451	931
37.0	2.427	415
37.8	2.382	755
38.2	2.358	717
38.2	2.353	639
40.1	2.250	839